# 1
# La6YTm5
Theoretical powder diffraction line list, Cu Kα (λ = 1.5418 Å). Input: a DFT-relaxed cell (GGA-PBE, Alexandria).
Peak positions follow from Bragg's law for the DFT cell and can differ from measured ones.

Cell: 6.1256 7.4472 8.8872 Å, 90.00 93.97 90.00°
Space group P2/m (No. 10)
Asymmetric unit:
La: 0.0000 0.2473 0.0000 (multiplicity 2)
La: 0.3327 0.2485 0.6649 (multiplicity 4)
Y: 0.5000 0.5000 0.0000 (multiplicity 1)
Tm: 0.1659 0.5000 0.3332 (multiplicity 2)
Tm: 0.1671 0.0000 0.3329 (multiplicity 2)
Tm: 0.5000 0.0000 0.0000 (multiplicity 1)

Most intense lines, 15 to 90 degrees two-theta, by angle:
index	Position (°2θ)	I_rel
1 2 1	30.2	100
1 2 -2	34.1	36
2 0 2	36.9	15
0 4 0	48.9	7
2 0 -4	49.1	7
3 2 0	51.1	23
0 4 3	58.6	15
3 2 -3	58.7	15
4 0 1	62.3	13
2 4 2	62.8	9
4 4 1	83.1	9
0 4 6	83.6	6

# 2
# La12ZnCo6
Theoretical powder diffraction line list, Cu Kα (λ = 1.5418 Å). Input: a DFT-relaxed cell (GGA-PBE, Alexandria).
Peak positions follow from Bragg's law for the DFT cell and can differ from measured ones.

Cell: 10.1082 10.1082 10.1082 Å, 90.00 90.00 90.00°
Space group Im-3 (No. 204)
Asymmetric unit:
La: 0.0000 0.1904 0.3108 (multiplicity 24)
Zn: 0.0000 0.0000 0.0000 (multiplicity 2)
Co: 0.0000 0.3804 0.5000 (multiplicity 12)

Most intense lines, 15 to 90 degrees two-theta, by angle:
index	Position (°2θ)	I_rel
3 1 0	27.9	45
2 2 2	30.6	37
3 2 1	33.2	100
4 0 0	35.5	13
5 1 0	45.8	25
5 0 3	52.8	34
6 0 0	54.5	15
5 3 2	56.1	34
5 4 3	65.3	16
6 3 5	79.3	12
8 2 2	80.7	16
7 5 0	82.0	17

# 3
# RbAc2PtO6
Theoretical powder diffraction line list, Cu Kα (λ = 1.5418 Å). Input: a DFT-relaxed cell (GGA-PBE, Alexandria).
Peak positions follow from Bragg's law for the DFT cell and can differ from measured ones.

Cell: 5.8410 6.5662 10.8882 Å, 90.00 122.22 90.00°
Space group P2_1/c (No. 14)
Asymmetric unit:
Rb: 0.0000 0.0000 0.0000 (multiplicity 2)
Ac: 0.2153 0.0081 0.7187 (multiplicity 4)
Pt: 0.5000 0.0000 0.5000 (multiplicity 2)
O: 0.1961 0.1453 0.4958 (multiplicity 4)
O: 0.2159 0.7006 0.8530 (multiplicity 4)
O: 0.4662 0.1718 0.3340 (multiplicity 4)

Most intense lines, 15 to 90 degrees two-theta, by angle:
index	Position (°2θ)	I_rel
0 1 1	16.6	20
0 2 0	27.2	26
1 1 -3	28.2	100
2 0 -2	30.6	21
0 0 4	39.1	8
2 2 -2	41.4	21
1 2 2	43.2	10
0 2 4	48.3	10
1 3 -3	48.6	25
3 1 -1	52.9	10
3 1 -5	53.0	10
1 5 -3	77.3	7

# 4
# Sc3CoSn2
Theoretical powder diffraction line list, Cu Kα (λ = 1.5418 Å). Input: a DFT-relaxed cell (GGA-PBE, Alexandria).
Peak positions follow from Bragg's law for the DFT cell and can differ from measured ones.

Cell: 11.5245 4.4179 9.8415 Å, 90.00 90.00 90.00°
Space group Pnma (No. 62)
Asymmetric unit:
Sc: 0.0558 0.2500 0.1467 (multiplicity 4)
Sc: 0.1540 0.7500 0.5871 (multiplicity 4)
Sc: 0.2438 0.2500 0.8027 (multiplicity 4)
Co: 0.1181 0.2500 0.3915 (multiplicity 4)
Sn: 0.0013 0.2500 0.6555 (multiplicity 4)
Sn: 0.1754 0.7500 0.9981 (multiplicity 4)

Most intense lines, 15 to 90 degrees two-theta, by angle:
index	Position (°2θ)	I_rel
1 1 1	23.4	48
2 0 2	23.8	30
3 0 1	24.9	33
1 0 3	28.3	81
2 1 2	31.3	44
1 1 3	34.9	49
3 1 2	36.0	100
4 1 0	37.3	39
4 1 1	38.4	69
2 0 4	39.8	32
0 2 0	40.9	75
5 0 3	48.2	38